# 1
TbSi2Os2: computed PXRD pattern (a wavelength of 1.5418 Å), based on a GGA-PBE-relaxed structure.
Neutral-atom scattering factors, no anomalous dispersion.

The 10 most intense peaks (10 to 80 degrees two-theta), by intensity:
2θ/deg, Rel. int.
35.6, 100
43.3, 36
74.3, 24
18.3, 22
58.3, 20
37.1, 18
65.9, 18
35.1, 15
23.2, 14
62.8, 12

abc: 5.675 5.675 5.675
angles: 136.75 136.75 62.82
Element x y z (fractional)
Tb: 0.000 0.000 0.000
Si: 0.371 0.371 0.000
Si: 0.629 0.629 0.000
Os: 0.250 0.750 0.500
Os: 0.750 0.250 0.500

***

# 2
Ba2MgV2S6: computed PXRD pattern (a wavelength of 1.5418 Å), based on a GGA-PBE-relaxed structure.
Neutral-atom scattering factors, no anomalous dispersion.

The 10 most intense peaks (10 to 80 degrees two-theta), by intensity:
2θ/deg, Rel. int.
26.0, 100
38.8, 75
19.1, 74
26.2, 67
36.1, 56
35.8, 51
28.9, 51
30.2, 34
38.5, 31
28.3, 30

abc: 7.129 7.129 6.404
angles: 107.63 107.63 57.55
Element x y z (fractional)
Ba: 0.000 0.000 0.000
Ba: 0.607 0.607 0.636
Mg: 0.759 0.759 0.257
V: 0.295 0.295 0.321
V: 0.334 0.334 0.792
S: 0.042 0.494 0.015
S: 0.133 0.638 0.567
S: 0.158 0.158 0.484
S: 0.494 0.042 0.015
S: 0.540 0.540 0.107
S: 0.638 0.133 0.567

***

# 3
LiPm2Co: computed PXRD pattern (a wavelength of 1.5418 Å), based on a GGA-PBE-relaxed structure.
Neutral-atom scattering factors, no anomalous dispersion.

The 10 most intense peaks (10 to 80 degrees two-theta), by intensity:
2θ/deg, Rel. int.
36.1, 100
25.3, 49
64.9, 35
58.7, 20
52.0, 17
44.6, 15
76.6, 11
21.9, 6
42.6, 3
57.1, 1

abc: 4.975 4.975 4.975
angles: 60.00 60.00 60.00
Element x y z (fractional)
Li: 0.000 0.000 0.000
Pm: 0.250 0.250 0.250
Pm: 0.750 0.750 0.750
Co: 0.500 0.500 0.500

***

# 4
LiSbP2O7: computed PXRD pattern (a wavelength of 1.5418 Å), based on a GGA-PBE-relaxed structure.
Neutral-atom scattering factors, no anomalous dispersion.

The 10 most intense peaks (10 to 80 degrees two-theta), by intensity:
2θ/deg, Rel. int.
16.5, 100
28.9, 92
14.2, 86
28.7, 74
28.1, 64
23.7, 54
40.3, 51
22.1, 46
32.3, 38
30.8, 28

abc: 7.231 9.136 9.190
angles: 90.00 112.50 90.00
Element x y z (fractional)
Li: 0.211 0.047 0.324
Li: 0.211 0.453 0.824
Li: 0.789 0.547 0.176
Li: 0.789 0.953 0.676
Sb: 0.248 0.089 0.886
Sb: 0.248 0.411 0.386
Sb: 0.752 0.589 0.614
Sb: 0.752 0.911 0.114
P: 0.032 0.725 0.970
P: 0.032 0.775 0.470
P: 0.431 0.744 0.251
P: 0.431 0.756 0.751
P: 0.569 0.244 0.249
P: 0.569 0.256 0.749
P: 0.968 0.225 0.530
P: 0.968 0.275 0.030
O: 0.011 0.096 0.648
O: 0.011 0.404 0.148
O: 0.028 0.626 0.397
O: 0.028 0.874 0.897
O: 0.117 0.219 0.444
O: 0.117 0.281 0.944
O: 0.248 0.680 0.097
O: 0.248 0.820 0.597
O: 0.379 0.611 0.798
O: 0.379 0.889 0.298
O: 0.388 0.245 0.305
O: 0.388 0.255 0.805
O: 0.474 0.619 0.372
O: 0.474 0.881 0.872
O: 0.526 0.119 0.128
O: 0.526 0.381 0.628
O: 0.612 0.745 0.195
O: 0.612 0.755 0.695
O: 0.621 0.111 0.702
O: 0.621 0.389 0.202
O: 0.752 0.180 0.403
O: 0.752 0.320 0.903
O: 0.883 0.719 0.056
O: 0.883 0.781 0.556
O: 0.972 0.126 0.103
O: 0.972 0.374 0.603
O: 0.989 0.596 0.852
O: 0.989 0.904 0.352

***

# 5
Lu2TcAg: computed PXRD pattern (a wavelength of 1.5418 Å), based on a GGA-PBE-relaxed structure.
Neutral-atom scattering factors, no anomalous dispersion.

The 7 most intense peaks (10 to 80 degrees two-theta), by intensity:
2θ/deg, Rel. int.
36.9, 100
66.4, 35
53.1, 17
78.4, 11
25.8, 7
60.0, 3
45.6, 2

abc: 4.878 4.878 4.878
angles: 60.00 60.00 60.00
Element x y z (fractional)
Lu: 0.250 0.250 0.250
Lu: 0.750 0.750 0.750
Tc: 0.000 0.000 0.000
Ag: 0.500 0.500 0.500

***

# 6
EuGe2Au2: computed PXRD pattern (a wavelength of 1.5418 Å), based on a GGA-PBE-relaxed structure.
Neutral-atom scattering factors, no anomalous dispersion.

The 10 most intense peaks (10 to 80 degrees two-theta), by intensity:
2θ/deg, Rel. int.
32.8, 100
39.8, 46
67.9, 25
44.7, 21
16.9, 20
32.3, 20
57.6, 16
60.3, 15
53.5, 13
52.2, 12

abc: 6.146 6.146 6.146
angles: 136.80 136.80 62.74
Element x y z (fractional)
Eu: 0.000 0.000 0.000
Ge: 0.381 0.381 0.000
Ge: 0.619 0.619 0.000
Au: 0.250 0.750 0.500
Au: 0.750 0.250 0.500

***

# 7
Li3BiF6: computed PXRD pattern (a wavelength of 1.5418 Å), based on a GGA-PBE-relaxed structure.
Neutral-atom scattering factors, no anomalous dispersion.

The 10 most intense peaks (10 to 80 degrees two-theta), by intensity:
2θ/deg, Rel. int.
11.6, 100
13.6, 63
14.5, 54
13.5, 51
15.3, 34
16.2, 29
23.3, 17
23.0, 17
17.7, 15
17.9, 15

abc: 7.311 7.526 7.996
angles: 72.45 82.91 63.89
Element x y z (fractional)
Li: 0.000 0.000 0.000
Li: 0.000 0.500 0.000
Li: 0.500 0.000 0.500
Bi: 0.500 0.000 0.000
F: 0.225 0.314 0.943
F: 0.263 0.875 0.029
F: 0.472 0.992 0.288
F: 0.528 0.008 0.712
F: 0.737 0.125 0.971
F: 0.775 0.686 0.057

***

# 8
Mg2Ge: computed PXRD pattern (a wavelength of 1.5418 Å), based on a GGA-PBE-relaxed structure.
Neutral-atom scattering factors, no anomalous dispersion.

The 10 most intense peaks (10 to 80 degrees two-theta), by intensity:
2θ/deg, Rel. int.
38.0, 100
36.7, 80
26.2, 61
48.7, 34
73.9, 26
53.9, 26
67.8, 25
29.3, 24
68.6, 17
21.7, 16

abc: 4.737 4.737 6.099
angles: 90.00 90.00 120.00
Element x y z (fractional)
Mg: 0.000 0.000 0.000
Mg: 0.000 0.000 0.500
Mg: 0.333 0.667 0.250
Mg: 0.667 0.333 0.750
Ge: 0.333 0.667 0.750
Ge: 0.667 0.333 0.250